The following is a simulated X-ray powder pattern of La2B6Rh9. It was derived from a structure optimized by DFT (GGA-PBE), using CuKα.

Structure:
a b c (Å): 5.6977 5.6977 8.5494
angles (deg): 90.00 90.00 120.00
Element x y z (fractional)
La 0.0000 0.0000 0.2125
La 0.0000 0.0000 0.7875
B 0.3333 0.6667 0.1666
B 0.3333 0.6667 0.5000
B 0.3333 0.6667 0.8334
B 0.6667 0.3333 0.1666
B 0.6667 0.3333 0.5000
B 0.6667 0.3333 0.8334
Rh 0.0000 0.5000 0.0000
Rh 0.0000 0.5000 0.3366
Rh 0.0000 0.5000 0.6634
Rh 0.5000 0.0000 0.0000
Rh 0.5000 0.0000 0.3366
Rh 0.5000 0.0000 0.6634
Rh 0.5000 0.5000 0.0000
Rh 0.5000 0.5000 0.3366
Rh 0.5000 0.5000 0.6634

Main lines, in order of rising 2θ (2θ from 10° to 90°):
2θ (°), Rel. int.
27.6, 14
31.4, 14
36.4, 100
45.0, 17
48.8, 29
59.2, 11
65.5, 23
74.5, 8
77.3, 22
85.8, 8


The following is a simulated X-ray powder pattern of CaAgF5. It was derived from a structure optimized by DFT (GGA-PBE), using CuKα.

Structure:
a b c (Å): 5.7110 10.4457 8.2194
angles (deg): 90.00 110.63 90.00
Element x y z (fractional)
Ca 0.0308 0.0198 0.2561
Ca 0.0308 0.4802 0.7561
Ca 0.9692 0.5198 0.2439
Ca 0.9692 0.9802 0.7439
Ag 0.3857 0.2466 0.5976
Ag 0.3857 0.2534 0.0976
Ag 0.6143 0.7466 0.9024
Ag 0.6143 0.7534 0.4024
F 0.0969 0.1095 0.5493
F 0.0969 0.3905 0.0493
F 0.1298 0.1040 0.0058
F 0.1298 0.3960 0.5058
F 0.3169 0.6308 0.3580
F 0.3169 0.8692 0.8580
F 0.3477 0.1957 0.3373
F 0.3477 0.3043 0.8373
F 0.3716 0.5982 0.8073
F 0.3716 0.9018 0.3073
F 0.6284 0.0982 0.6927
F 0.6284 0.4018 0.1927
F 0.6523 0.6957 0.1627
F 0.6523 0.8043 0.6627
F 0.6831 0.1308 0.1420
F 0.6831 0.3692 0.6420
F 0.8702 0.6040 0.4942
F 0.8702 0.8960 0.9942
F 0.9031 0.6095 0.9507
F 0.9031 0.8905 0.4507

Main lines, in order of rising 2θ (2θ from 10° to 90°):
2θ (°), Rel. int.
17.0, 28
18.6, 69
23.8, 100
24.7, 67
24.8, 63
30.6, 18
42.6, 42
44.1, 25
48.5, 23
48.7, 21


The following is a simulated X-ray powder pattern of WBr4. It was derived from a structure optimized by DFT (GGA-PBE), using CuKα.

Structure:
a b c (Å): 7.6174 7.6174 9.1553
angles (deg): 125.19 125.19 53.74
Element x y z (fractional)
W 0.1995 0.8005 0.0000
W 0.8005 0.1995 0.0000
Br 0.2024 0.2024 0.1714
Br 0.2135 0.7397 0.7111
Br 0.2603 0.7865 0.2889
Br 0.3330 0.3330 0.8583
Br 0.6670 0.6670 0.1417
Br 0.7397 0.2135 0.7111
Br 0.7865 0.2603 0.2889
Br 0.7976 0.7976 0.8286

Main lines, in order of rising 2θ (2θ from 10° to 90°):
2θ (°), Rel. int.
12.7, 100
13.1, 88
17.1, 50
19.4, 21
30.2, 36
31.2, 75
38.4, 28
39.4, 25
47.1, 25
51.6, 23


The following is a simulated X-ray powder pattern of K8TeP8H10O32. It was derived from a structure optimized by DFT (GGA-PBE), using CuKα.

Structure:
a b c (Å): 8.0973 11.0476 11.6577
angles (deg): 109.06 94.27 108.21
Element x y z (fractional)
K 0.0337 0.1011 0.3822
K 0.1149 0.8261 0.9857
K 0.1903 0.5848 0.1743
K 0.1945 0.6458 0.5262
K 0.8055 0.3542 0.4738
K 0.8097 0.4152 0.8257
K 0.8851 0.1739 0.0143
K 0.9663 0.8989 0.6178
Te 0.5000 0.0000 0.5000
P 0.2275 0.3364 0.8557
P 0.3640 0.4050 0.6362
P 0.3755 0.3032 0.2187
P 0.4604 0.2324 0.9691
P 0.5396 0.7676 0.0309
P 0.6245 0.6968 0.7813
P 0.6360 0.5950 0.3638
P 0.7725 0.6636 0.1443
H 0.0190 0.9740 0.8839
H 0.0674 0.3978 0.2802
H 0.0762 0.0741 0.1374
H 0.1952 0.1302 0.8331
H 0.2638 0.7609 0.7798
H 0.7362 0.2391 0.2202
H 0.8048 0.8698 0.1669
H 0.9238 0.9259 0.8626
H 0.9326 0.6022 0.7198
H 0.9810 0.0260 0.1161
O 0.0068 0.5488 0.6897
O 0.1184 0.4072 0.9261
O 0.1351 0.1797 0.7815
O 0.1610 0.7809 0.7543
O 0.2114 0.3524 0.5341
O 0.2313 0.3408 0.1692
O 0.2538 0.8895 0.4899
O 0.2920 0.1062 0.9171
O 0.3069 0.4101 0.7657
O 0.3403 0.1881 0.2634
O 0.3728 0.7688 0.0754
O 0.3996 0.1762 0.5805
O 0.4035 0.3528 0.9423
O 0.4813 0.5600 0.6654
O 0.4930 0.6686 0.3801
O 0.4940 0.7131 0.8820
O 0.5060 0.2869 0.1180
O 0.5070 0.3314 0.6199
O 0.5187 0.4400 0.3346
O 0.5965 0.6472 0.0577
O 0.6004 0.8238 0.4195
O 0.6272 0.2312 0.9246
O 0.6597 0.8119 0.7366
O 0.6931 0.5899 0.2344
O 0.7080 0.8938 0.0829
O 0.7462 0.1105 0.5101
O 0.7687 0.6592 0.8308
O 0.7886 0.6476 0.4659
O 0.8390 0.2191 0.2457
O 0.8649 0.8203 0.2185
O 0.8816 0.5928 0.0739
O 0.9932 0.4512 0.3103

Main lines, in order of rising 2θ (2θ from 10° to 90°):
2θ (°), Rel. int.
11.7, 39
19.5, 64
21.5, 42
22.6, 58
23.3, 39
24.8, 100
25.1, 78
28.3, 46
29.5, 31
36.4, 43


The following is a simulated X-ray powder pattern of AlPS4. It was derived from a structure optimized by DFT (GGA-PBE), using CuKα.

Structure:
a b c (Å): 5.7123 5.7164 11.4668
angles (deg): 90.00 90.00 90.00
Element x y z (fractional)
Al 0.0000 0.0000 0.0000
Al 0.5000 0.0000 0.5000
P 0.0000 0.0000 0.5000
P 0.0000 0.5000 0.0000
S 0.1978 0.2764 0.1019
S 0.1978 0.7236 0.8981
S 0.2236 0.1995 0.6012
S 0.2236 0.8005 0.3988
S 0.7764 0.1995 0.3988
S 0.7764 0.8005 0.6012
S 0.8022 0.2764 0.8981
S 0.8022 0.7236 0.1019

Main lines, in order of rising 2θ (2θ from 10° to 90°):
2θ (°), Rel. int.
15.5, 100
17.3, 46
22.0, 14
27.0, 92
38.5, 21
42.6, 10
44.8, 50
47.7, 10
53.1, 12
58.1, 14


The following is a simulated X-ray powder pattern of KGdPdO3. It was derived from a structure optimized by DFT (GGA-PBE), using CuKα.

Structure:
a b c (Å): 6.8733 6.8733 7.5501
angles (deg): 103.74 103.74 33.31
Element x y z (fractional)
K 0.1446 0.1446 0.0647
K 0.8554 0.8554 0.9353
Gd 0.1502 0.1502 0.5762
Gd 0.8498 0.8498 0.4238
Pd 0.4922 0.4922 0.7228
Pd 0.5078 0.5078 0.2772
O 0.0070 0.0070 0.3191
O 0.3283 0.3283 0.6294
O 0.3471 0.3471 0.2312
O 0.6529 0.6529 0.7688
O 0.6717 0.6717 0.3706
O 0.9930 0.9930 0.6809

Main lines, in order of rising 2θ (2θ from 10° to 90°):
2θ (°), Rel. int.
12.1, 96
30.9, 69
31.1, 42
32.3, 39
32.9, 100
42.5, 22
46.1, 23
53.9, 20
55.6, 19
57.4, 15


The following is a simulated X-ray powder pattern of B8O. It was derived from a structure optimized by DFT (GGA-PBE), using CuKα.

Structure:
a b c (Å): 9.0997 9.0997 5.1419
angles (deg): 92.14 92.14 71.37
Element x y z (fractional)
B 0.9996 0.9996 0.1645
B 0.0004 0.0004 0.8355
B 0.0004 0.1668 0.6689
B 0.9996 0.8332 0.3311
B 0.0037 0.3314 0.8300
B 0.0037 0.4969 0.6645
B 0.1008 0.1008 0.3774
B 0.1007 0.8379 0.6401
B 0.1021 0.3383 0.1388
B 0.1020 0.5992 0.8776
B 0.1621 0.8993 0.3599
B 0.1668 0.0004 0.6689
B 0.1670 0.5008 0.1686
B 0.1764 0.3936 0.8575
B 0.3314 0.0037 0.8300
B 0.3316 0.4976 0.3370
B 0.3383 0.1021 0.1388
B 0.3382 0.5992 0.6416
B 0.3936 0.1764 0.8575
B 0.3937 0.3937 0.6401
B 0.4008 0.6618 0.3584
B 0.4008 0.8980 0.1224
B 0.4969 0.0037 0.6645
B 0.4976 0.3316 0.3370
B 0.4992 0.8330 0.8314
B 0.4999 0.4999 0.1647
B 0.5001 0.5001 0.8353
B 0.5008 0.1670 0.1686
B 0.5024 0.6684 0.6630
B 0.5031 0.9963 0.3355
B 0.5992 0.1020 0.8776
B 0.5992 0.3382 0.6416
B 0.6063 0.6063 0.3599
B 0.6064 0.8236 0.1425
B 0.6618 0.4008 0.3584
B 0.6617 0.8979 0.8612
B 0.6684 0.5024 0.6630
B 0.6686 0.9963 0.1700
B 0.8236 0.6064 0.1425
B 0.8332 0.9996 0.3311
B 0.8330 0.4992 0.8314
B 0.8379 0.1007 0.6401
B 0.8980 0.4008 0.1224
B 0.8979 0.6617 0.8612
B 0.8993 0.1621 0.3599
B 0.8992 0.8992 0.6226
B 0.9963 0.5031 0.3355
B 0.9963 0.6686 0.1700
O 0.1904 0.1904 0.2609
O 0.1899 0.6894 0.7590
O 0.3106 0.8101 0.2410
O 0.6894 0.1899 0.7590
O 0.8101 0.3106 0.2410
O 0.8096 0.8096 0.7391

Main lines, in order of rising 2θ (2θ from 10° to 90°):
2θ (°), Rel. int.
20.6, 16
21.5, 58
24.1, 12
34.9, 100
39.9, 71
63.4, 15
64.9, 13
65.6, 25
71.0, 12
75.2, 13


The following is a simulated X-ray powder pattern of Eu3P4Pt4. It was derived from a structure optimized by DFT (GGA-PBE), using CuKα.

Structure:
a b c (Å): 9.9295 9.9295 7.0558
angles (deg): 110.75 110.75 23.88
Element x y z (fractional)
Eu 0.0000 0.0000 0.0000
Eu 0.2505 0.2505 0.2477
Eu 0.7495 0.7495 0.7523
P 0.1295 0.1295 0.4624
P 0.3725 0.3725 0.0388
P 0.6275 0.6275 0.9612
P 0.8705 0.8705 0.5376
Pt 0.1277 0.1277 0.7923
Pt 0.3730 0.3730 0.7044
Pt 0.6270 0.6270 0.2956
Pt 0.8723 0.8723 0.2077

Main lines, in order of rising 2θ (2θ from 10° to 90°):
2θ (°), Rel. int.
27.0, 61
27.1, 30
32.0, 100
32.2, 49
39.2, 27
39.8, 30
44.1, 23
44.4, 45
55.6, 21
61.1, 35


The following is a simulated X-ray powder pattern of Na2ZrSi6O18. It was derived from a structure optimized by DFT (GGA-PBE), using CuKα.

Structure:
a b c (Å): 14.5949 7.4405 7.2910
angles (deg): 90.00 90.00 90.00
Element x y z (fractional)
Na 0.0000 0.0000 0.0000
Na 0.2500 0.0343 0.4799
Na 0.5000 0.0000 0.0000
Na 0.7500 0.9657 0.4799
Zr 0.0000 0.0000 0.5040
Zr 0.5000 0.0000 0.5040
Si 0.1398 0.4081 0.5049
Si 0.1416 0.7156 0.7842
Si 0.1422 0.7200 0.2230
Si 0.3584 0.7156 0.7842
Si 0.3578 0.7200 0.2230
Si 0.3602 0.4081 0.5049
Si 0.6398 0.5919 0.5049
Si 0.6422 0.2800 0.2230
Si 0.6416 0.2844 0.7842
Si 0.8578 0.2800 0.2230
Si 0.8584 0.2844 0.7842
Si 0.8602 0.5919 0.5049
O 0.0800 0.8820 0.7146
O 0.0795 0.8852 0.2907
O 0.0903 0.2164 0.4983
O 0.1138 0.5246 0.6883
O 0.1186 0.5303 0.3235
O 0.1281 0.6891 0.0042
O 0.1744 0.2546 0.9776
O 0.2500 0.1759 0.9332
O 0.2500 0.3611 0.5119
O 0.2500 0.7633 0.7374
O 0.2500 0.7778 0.2664
O 0.3256 0.2546 0.9776
O 0.3719 0.6891 0.0042
O 0.3814 0.5303 0.3235
O 0.3862 0.5246 0.6883
O 0.4097 0.2164 0.4983
O 0.4200 0.8820 0.7146
O 0.4205 0.8852 0.2907
O 0.5795 0.1148 0.2907
O 0.5800 0.1180 0.7146
O 0.5903 0.7836 0.4983
O 0.6138 0.4754 0.6883
O 0.6186 0.4697 0.3235
O 0.6281 0.3109 0.0042
O 0.6744 0.7454 0.9776
O 0.7500 0.2222 0.2664
O 0.7500 0.2367 0.7374
O 0.7500 0.6389 0.5119
O 0.7500 0.8241 0.9332
O 0.8256 0.7454 0.9776
O 0.8719 0.3109 0.0042
O 0.8814 0.4697 0.3235
O 0.8862 0.4754 0.6883
O 0.9097 0.7836 0.4983
O 0.9205 0.1148 0.2907
O 0.9200 0.1180 0.7146

Main lines, in order of rising 2θ (2θ from 10° to 90°):
2θ (°), Rel. int.
12.1, 84
13.4, 33
17.0, 65
21.0, 26
26.9, 80
27.2, 87
27.9, 100
29.9, 40
34.4, 28
50.0, 29